Simulated powder diffractogram
Compound: Hg2Br
Radiation: a wavelength of 1.5418 Å
Structure: a structure optimized by DFT (GGA-PBE)

Peak list (10 most intense, 2θ from 10° to 90°, low angle first)
| 2theta | intensity |
| --- | --- |
| 17.19 | 56 |
| 27.97 | 78 |
| 30.97 | 100 |
| 31.17 | 34 |
| 35.63 | 20 |
| 42.22 | 52 |
| 44.36 | 38 |
| 44.51 | 53 |
| 55.21 | 28 |
| 67.69 | 21 |

Structure:
```
data_Hg2Br
_chemical_formula_sum 'Hg8 Br4'
_cell_length_a 5.775
_cell_length_b 5.775
_cell_length_c 11.477
_cell_angle_alpha 90.00
_cell_angle_beta 90.00
_cell_angle_gamma 90.00
_symmetry_space_group_name_H-M 'I 41 m d'
_symmetry_Int_Tables_number 109
_symmetry_space_group_name_Hall 'I 4bw -2'
loop_
_atom_site_label
_atom_site_fract_x
_atom_site_fract_y
_atom_site_fract_z
Hg1 0.000 0.000 0.000
Hg2 0.000 0.000 0.284
Br1 0.000 0.000 0.563
```

***

Simulated powder diffractogram
Compound: Sm8Tm2Mg
Radiation: a wavelength of 1.5418 Å
Structure: a structure optimized by DFT (GGA-PBE)

Peak list (10 most intense, 2θ from 10° to 90°, low angle first)
| 2theta | intensity |
| --- | --- |
| 10.88 | 16 |
| 27.38 | 29 |
| 31.46 | 80 |
| 31.79 | 100 |
| 32.88 | 48 |
| 33.06 | 44 |
| 47.32 | 33 |
| 58.03 | 18 |
| 58.46 | 20 |
| 63.27 | 28 |

Structure:
```
data_Sm8Tm2Mg
_chemical_formula_sum 'Sm16 Tm4 Mg2'
_cell_length_a 10.341
_cell_length_b 13.149
_cell_length_c 5.447
_cell_angle_alpha 90.00
_cell_angle_beta 90.08
_cell_angle_gamma 90.00
_symmetry_space_group_name_H-M 'C 1 m 1'
_symmetry_Int_Tables_number 8
loop_
_symmetry_equiv_pos_as_xyz
'x,y,z'
'x,-y,z'
'x+1/2,y+1/2,z'
'x+1/2,-y+1/2,z'
loop_
_atom_site_label
_atom_site_fract_x
_atom_site_fract_y
_atom_site_fract_z
Sm1 0.000 0.000 0.000
Sm2 0.001 0.362 0.501
Sm3 0.172 0.138 0.499
Sm4 0.173 0.500 0.000
Sm5 0.337 0.253 0.000
Tm1 0.337 0.379 0.500
Mg1 0.336 0.000 0.000
```

***

Simulated powder diffractogram
Compound: Tb4Y2Te9
Radiation: a wavelength of 1.5418 Å
Structure: a structure optimized by DFT (GGA-PBE)

Peak list (10 most intense, 2θ from 10° to 90°, low angle first)
| 2theta | intensity |
| --- | --- |
| 15.69 | 31 |
| 21.43 | 22 |
| 26.33 | 100 |
| 31.67 | 18 |
| 34.47 | 93 |
| 40.48 | 61 |
| 45.19 | 23 |
| 54.19 | 24 |
| 67.82 | 21 |
| 69.78 | 21 |

Structure:
```
data_Tb4Y2Te9
_chemical_formula_sum 'Tb8 Y4 Te18'
_cell_length_a 7.7190
_cell_length_b 7.7190
_cell_length_c 21.1382
_cell_angle_alpha 90.00
_cell_angle_beta 90.00
_cell_angle_gamma 120.00
_symmetry_space_group_name_H-M 'P -3 c 1'
_symmetry_Int_Tables_number 165
_symmetry_space_group_name_Hall '-P 3 2"c'
loop_
_atom_site_label
_atom_site_fract_x
_atom_site_fract_y
_atom_site_fract_z
Tb1 0.3333 0.6667 0.1766
Tb2 0.3333 0.6667 0.4901
Y1 0.0000 0.0000 0.1570
Te1 0.0000 0.3129 0.2500
Te2 0.0200 0.3527 0.5834
```

***

Simulated powder diffractogram
Compound: CePmTe2
Radiation: a wavelength of 1.5418 Å
Structure: a structure optimized by DFT (GGA-PBE)

Peak list (9 most intense, 2θ from 10° to 90°, low angle first)
| 2theta | intensity |
| --- | --- |
| 24.34 | 1 |
| 28.18 | 100 |
| 40.28 | 76 |
| 47.62 | 1 |
| 49.88 | 27 |
| 58.27 | 13 |
| 65.96 | 35 |
| 73.22 | 26 |
| 87.04 | 8 |

Structure:
```
data_CePmTe2
_chemical_formula_sum 'Ce4 Pm4 Te8'
_cell_length_a 6.333
_cell_length_b 6.333
_cell_length_c 12.666
_cell_angle_alpha 90.00
_cell_angle_beta 90.00
_cell_angle_gamma 90.00
_symmetry_space_group_name_H-M 'P m n a'
_symmetry_Int_Tables_number 53
loop_
_symmetry_equiv_pos_as_xyz
'x,y,z'
'-x,-y,-z'
'-x+1/2,-y,z+1/2'
'x+1/2,y,-z+1/2'
'x,-y,-z'
'-x,y,z'
'-x+1/2,y,-z+1/2'
'x+1/2,-y,z+1/2'
loop_
_atom_site_label
_atom_site_fract_x
_atom_site_fract_y
_atom_site_fract_z
Ce1 0.000 0.249 0.125
Pm1 0.000 0.251 0.625
Te1 0.000 0.249 0.375
Te2 0.000 0.251 0.875
```

***

Simulated powder diffractogram
Compound: ThCu2S4
Radiation: a wavelength of 1.5418 Å
Structure: a structure optimized by DFT (GGA-PBE)

Peak list (10 most intense, 2θ from 10° to 90°, low angle first)
| 2theta | intensity |
| --- | --- |
| 17.48 | 88 |
| 24.88 | 100 |
| 26.19 | 56 |
| 32.67 | 40 |
| 35.57 | 31 |
| 39.75 | 88 |
| 39.89 | 22 |
| 49.06 | 26 |
| 49.45 | 22 |
| 55.18 | 25 |

Structure:
```
data_ThCu2S4
_chemical_formula_sum 'Th4 Cu8 S16'
_cell_length_a 6.082
_cell_length_b 9.211
_cell_length_c 10.096
_cell_angle_alpha 90.00
_cell_angle_beta 90.00
_cell_angle_gamma 90.00
_symmetry_space_group_name_H-M 'C c c m'
_symmetry_Int_Tables_number 66
_symmetry_space_group_name_Hall '-C 2 2c'
loop_
_atom_site_label
_atom_site_fract_x
_atom_site_fract_y
_atom_site_fract_z
Th1 0.000 0.000 0.250
Cu1 0.031 0.283 0.000
S1 0.219 0.084 0.500
S2 0.250 0.250 0.183
```

***

Simulated powder diffractogram
Compound: La2Tb2NdEr
Radiation: a wavelength of 1.5418 Å
Structure: a structure optimized by DFT (GGA-PBE)

Peak list (10 most intense, 2θ from 10° to 90°, low angle first)
| 2theta | intensity |
| --- | --- |
| 30.94 | 100 |
| 31.02 | 77 |
| 31.14 | 38 |
| 40.35 | 16 |
| 44.34 | 13 |
| 44.45 | 24 |
| 55.13 | 34 |
| 55.31 | 28 |
| 61.42 | 34 |
| 79.01 | 11 |

Structure:
```
data_La2Tb2NdEr
_chemical_formula_sum 'La4 Tb4 Nd2 Er2'
_cell_length_a 7.092
_cell_length_b 5.744
_cell_length_c 9.997
_cell_angle_alpha 90.00
_cell_angle_beta 90.00
_cell_angle_gamma 90.00
_symmetry_space_group_name_H-M 'P m m a'
_symmetry_Int_Tables_number 51
loop_
_symmetry_equiv_pos_as_xyz
'x,y,z'
'-x,-y,-z'
'-x+1/2,-y,z'
'x+1/2,y,-z'
'x+1/2,-y,-z'
'-x+1/2,y,z'
'-x,y,-z'
'x,-y,z'
loop_
_atom_site_label
_atom_site_fract_x
_atom_site_fract_y
_atom_site_fract_z
La1 0.000 0.000 0.000
La2 0.250 0.500 0.170
Tb1 0.250 0.000 0.334
Tb2 0.250 0.500 0.833
Nd1 0.000 0.500 0.500
Er1 0.250 0.000 0.663
```

***

Simulated powder diffractogram
Compound: K2Hg3Cl8
Radiation: a wavelength of 1.5418 Å
Structure: a structure optimized by DFT (GGA-PBE)

Peak list (10 most intense, 2θ from 10° to 90°, low angle first)
| 2theta | intensity |
| --- | --- |
| 12.81 | 100 |
| 16.50 | 61 |
| 18.90 | 33 |
| 22.75 | 61 |
| 24.46 | 70 |
| 27.80 | 31 |
| 27.94 | 31 |
| 31.96 | 45 |
| 33.39 | 46 |
| 37.13 | 22 |

Structure:
```
data_K2Hg3Cl8
_chemical_formula_sum 'K4 Hg6 Cl16'
_cell_length_a 14.224
_cell_length_b 9.905
_cell_length_c 6.571
_cell_angle_alpha 90.00
_cell_angle_beta 103.70
_cell_angle_gamma 90.00
_symmetry_space_group_name_H-M 'C 1 2/m 1'
_symmetry_Int_Tables_number 12
loop_
_symmetry_equiv_pos_as_xyz
'x,y,z'
'-x,-y,-z'
'-x,y,-z'
'x,-y,z'
'x+1/2,y+1/2,z'
'-x+1/2,-y+1/2,-z'
'-x+1/2,y+1/2,-z'
'x+1/2,-y+1/2,z'
loop_
_atom_site_label
_atom_site_fract_x
_atom_site_fract_y
_atom_site_fract_z
K1 0.215 0.000 0.016
Hg1 0.000 0.198 0.500
Hg2 0.000 0.500 0.000
Cl1 0.105 0.000 0.380
Cl2 0.113 0.273 0.821
Cl3 0.132 0.500 0.292
```

***

Simulated powder diffractogram
Compound: SrAsAu
Radiation: a wavelength of 1.5418 Å
Structure: a structure optimized by DFT (GGA-PBE)

Peak list (10 most intense, 2θ from 10° to 90°, low angle first)
| 2theta | intensity |
| --- | --- |
| 20.41 | 48 |
| 30.56 | 58 |
| 30.73 | 100 |
| 39.64 | 68 |
| 40.05 | 41 |
| 41.50 | 30 |
| 44.98 | 25 |
| 51.20 | 28 |
| 58.74 | 43 |
| 59.05 | 21 |

Structure:
```
data_SrAsAu
_chemical_formula_sum 'Sr2 As2 Au2'
_cell_length_a 4.351
_cell_length_b 4.502
_cell_length_c 7.903
_cell_angle_alpha 90.00
_cell_angle_beta 90.00
_cell_angle_gamma 90.00
_symmetry_space_group_name_H-M 'P m m m'
_symmetry_Int_Tables_number 47
loop_
_symmetry_equiv_pos_as_xyz
'x,y,z'
'-x,-y,-z'
'-x,-y,z'
'x,y,-z'
'x,-y,-z'
'-x,y,z'
'-x,y,-z'
'x,-y,z'
loop_
_atom_site_label
_atom_site_fract_x
_atom_site_fract_y
_atom_site_fract_z
Sr1 0.000 0.000 0.000
Sr2 0.000 0.500 0.500
As1 0.500 0.000 0.337
Au1 0.500 0.500 0.173
```

***

Simulated powder diffractogram
Compound: La3CeO4
Radiation: a wavelength of 1.5418 Å
Structure: a structure optimized by DFT (GGA-PBE)

Peak list (10 most intense, 2θ from 10° to 90°, low angle first)
| 2theta | intensity |
| --- | --- |
| 30.17 | 61 |
| 30.35 | 60 |
| 35.08 | 100 |
| 50.22 | 12 |
| 50.45 | 46 |
| 59.83 | 23 |
| 59.98 | 14 |
| 60.14 | 18 |
| 62.73 | 12 |
| 84.73 | 20 |

Structure:
```
data_La3CeO4
_chemical_formula_sum 'La6 Ce2 O8'
_cell_length_a 6.275
_cell_length_b 7.202
_cell_length_c 6.277
_cell_angle_alpha 90.00
_cell_angle_beta 109.25
_cell_angle_gamma 90.00
_symmetry_space_group_name_H-M 'P 1 2/c 1'
_symmetry_Int_Tables_number 13
loop_
_symmetry_equiv_pos_as_xyz
'x,y,z'
'-x,-y,-z'
'-x,y,-z+1/2'
'x,-y,z+1/2'
loop_
_atom_site_label
_atom_site_fract_x
_atom_site_fract_y
_atom_site_fract_z
La1 0.000 0.124 0.250
La2 0.000 0.374 0.750
La3 0.500 0.374 0.250
Ce1 0.500 0.124 0.750
O1 0.258 0.369 0.506
O2 0.260 0.120 0.000
```

***

Simulated powder diffractogram
Compound: SmY2Ho9
Radiation: a wavelength of 1.5418 Å
Structure: a structure optimized by DFT (GGA-PBE)

Peak list (10 most intense, 2θ from 10° to 90°, low angle first)
| 2theta | intensity |
| --- | --- |
| 30.17 | 18 |
| 31.58 | 71 |
| 31.95 | 100 |
| 35.50 | 16 |
| 37.92 | 11 |
| 45.53 | 25 |
| 56.70 | 25 |
| 56.93 | 17 |
| 62.72 | 29 |
| 81.07 | 14 |

Structure:
```
data_SmY2Ho9
_chemical_formula_sum 'Sm1 Y2 Ho9'
_cell_length_a 11.2061
_cell_length_b 11.2061
_cell_length_c 3.4904
_cell_angle_alpha 90.00
_cell_angle_beta 90.00
_cell_angle_gamma 120.00
_symmetry_space_group_name_H-M 'P 6/m m m'
_symmetry_Int_Tables_number 191
_symmetry_space_group_name_Hall '-P 6 2'
loop_
_atom_site_label
_atom_site_fract_x
_atom_site_fract_y
_atom_site_fract_z
Sm1 0.0000 0.0000 0.0000
Y1 0.3333 0.6667 0.0000
Ho1 0.0000 0.5000 0.0000
Ho2 0.1768 0.3537 0.5000
```

***

Simulated powder diffractogram
Compound: Ta5H
Radiation: a wavelength of 1.5418 Å
Structure: a structure optimized by DFT (GGA-PBE)

Peak list (10 most intense, 2θ from 10° to 90°, low angle first)
| 2theta | intensity |
| --- | --- |
| 26.44 | 9 |
| 33.00 | 13 |
| 34.79 | 9 |
| 39.36 | 28 |
| 39.74 | 100 |
| 40.13 | 19 |
| 57.46 | 23 |
| 71.62 | 18 |
| 71.86 | 10 |
| 85.65 | 9 |

Structure:
```
data_Ta5H
_chemical_formula_sum 'Ta10 H2'
_cell_length_a 3.209
_cell_length_b 13.482
_cell_length_c 4.578
_cell_angle_alpha 90.00
_cell_angle_beta 90.00
_cell_angle_gamma 90.00
_symmetry_space_group_name_H-M 'C m m m'
_symmetry_Int_Tables_number 65
_symmetry_space_group_name_Hall '-C 2 2'
loop_
_atom_site_label
_atom_site_fract_x
_atom_site_fract_y
_atom_site_fract_z
Ta1 0.000 0.000 0.000
Ta2 0.000 0.142 0.500
Ta3 0.000 0.332 0.000
H1 0.000 0.500 0.500
```

***

Simulated powder diffractogram
Compound: Ho2Si6Pd21
Radiation: a wavelength of 1.5418 Å
Structure: a structure optimized by DFT (GGA-PBE)

Peak list (10 most intense, 2θ from 10° to 90°, low angle first)
| 2theta | intensity |
| --- | --- |
| 32.73 | 31 |
| 35.96 | 35 |
| 38.22 | 100 |
| 41.76 | 33 |
| 43.77 | 29 |
| 49.41 | 15 |
| 62.61 | 10 |
| 64.64 | 30 |
| 66.14 | 14 |
| 76.24 | 22 |

Structure:
```
data_Ho2Si6Pd21
_chemical_formula_sum 'Ho8 Si24 Pd84'
_cell_length_a 12.236
_cell_length_b 12.236
_cell_length_c 12.236
_cell_angle_alpha 90.00
_cell_angle_beta 90.00
_cell_angle_gamma 90.00
_symmetry_space_group_name_H-M 'F m -3 m'
_symmetry_Int_Tables_number 225
_symmetry_space_group_name_Hall '-F 4 2 3'
loop_
_atom_site_label
_atom_site_fract_x
_atom_site_fract_y
_atom_site_fract_z
Ho1 0.250 0.250 0.250
Si1 0.000 0.000 0.234
Pd1 0.000 0.000 0.500
Pd2 0.000 0.172 0.328
Pd3 0.117 0.117 0.117
```